[1]
Structure and simulated powder diffractogram of Y2Ho2Tm7 (a GGA-PBE-relaxed structure; Cu Kα).

Main lines, by angle (2θ from 5° to 70°):
| Position (°2θ) | d_spacing | I (rel.) |
| --- | --- | --- |
| 26.5 | 3.360 | 21 |
| 29.8 | 2.999 | 21 |
| 30.7 | 2.912 | 22 |
| 31.6 | 2.834 | 21 |
| 31.9 | 2.804 | 64 |
| 32.2 | 2.780 | 100 |
| 33.0 | 2.718 | 16 |
| 33.3 | 2.694 | 35 |
| 33.7 | 2.661 | 33 |
| 34.2 | 2.625 | 27 |

Cell and atoms:
Cell: 6.2140 6.5016 8.6832 Å, 100.01 95.07 92.54°
Element x y z (fractional)
Y 0.0584 0.1396 0.3624
Y 0.9416 0.8604 0.6376
Ho 0.1804 0.8263 0.9917
Ho 0.8196 0.1737 0.0083
Tm 0.0492 0.3921 0.7294
Tm 0.3481 0.3491 0.0920
Tm 0.4577 0.0643 0.7011
Tm 0.5000 0.5000 0.5000
Tm 0.5423 0.9357 0.2989
Tm 0.6519 0.6509 0.9080
Tm 0.9508 0.6079 0.2706

[2]
Structure and simulated powder diffractogram of Sm3AlIr3 (a GGA-PBE-relaxed structure; Cu Kα).

Main lines, by angle (2θ from 5° to 70°):
| Position (°2θ) | d_spacing | I (rel.) |
| --- | --- | --- |
| 23.1 | 3.852 | 21 |
| 26.4 | 3.373 | 32 |
| 30.1 | 2.968 | 22 |
| 33.5 | 2.678 | 25 |
| 34.7 | 2.588 | 49 |
| 38.7 | 2.328 | 33 |
| 38.8 | 2.322 | 100 |
| 39.3 | 2.293 | 33 |
| 43.7 | 2.069 | 33 |
| 60.2 | 1.536 | 19 |

Cell and atoms:
Cell: 5.6611 5.6611 13.9692 Å, 90.00 90.00 137.12°
Element x y z (fractional)
Sm 0.0117 0.9883 0.7500
Sm 0.2923 0.7077 0.6066
Sm 0.2923 0.7077 0.8934
Sm 0.7077 0.2923 0.1066
Sm 0.7077 0.2923 0.3934
Sm 0.9883 0.0117 0.2500
Al 0.0000 0.0000 0.0000
Al 0.0000 0.0000 0.5000
Ir 0.2729 0.7271 0.2500
Ir 0.4202 0.5798 0.0877
Ir 0.4202 0.5798 0.4123
Ir 0.5798 0.4202 0.5877
Ir 0.5798 0.4202 0.9123
Ir 0.7271 0.2729 0.7500

[3]
Structure and simulated powder diffractogram of La3Pm8Dy2 (a GGA-PBE-relaxed structure; Cu Kα).

Main lines, by angle (2θ from 5° to 70°):
| Position (°2θ) | d_spacing | I (rel.) |
| --- | --- | --- |
| 29.1 | 3.070 | 11 |
| 29.4 | 3.041 | 9 |
| 29.5 | 3.028 | 30 |
| 30.2 | 2.961 | 12 |
| 30.3 | 2.947 | 100 |
| 30.7 | 2.914 | 22 |
| 31.2 | 2.868 | 25 |
| 37.8 | 2.381 | 10 |
| 41.8 | 2.161 | 14 |
| 56.2 | 1.636 | 9 |

Cell and atoms:
Cell: 9.1387 9.1387 12.1627 Å, 109.41 109.41 82.88°
Element x y z (fractional)
La 0.0000 0.0000 0.0000
La 0.0000 0.0000 0.5000
La 0.1193 0.8807 0.7500
La 0.4497 0.5503 0.2500
La 0.5503 0.4497 0.7500
La 0.8807 0.1193 0.2500
Pm 0.0747 0.7010 0.2710
Pm 0.0947 0.3497 0.0409
Pm 0.1427 0.4577 0.6195
Pm 0.2246 0.3307 0.3330
Pm 0.2990 0.9253 0.2290
Pm 0.3307 0.2246 0.8330
Pm 0.3497 0.0947 0.5409
Pm 0.4577 0.1427 0.1195
Pm 0.5423 0.8573 0.8805
Pm 0.6503 0.9053 0.4591
Pm 0.6693 0.7754 0.1670
Pm 0.7010 0.0747 0.7710
Pm 0.7754 0.6693 0.6670
Pm 0.8573 0.5423 0.3805
Pm 0.9053 0.6503 0.9591
Pm 0.9253 0.2990 0.7290
Dy 0.2943 0.6222 0.9524
Dy 0.3778 0.7057 0.5476
Dy 0.6222 0.2943 0.4524
Dy 0.7057 0.3778 0.0476

[4]
Structure and simulated powder diffractogram of CsCuB2Cl8 (a GGA-PBE-relaxed structure; Cu Kα).

Main lines, by angle (2θ from 5° to 70°):
| Position (°2θ) | d_spacing | I (rel.) |
| --- | --- | --- |
| 18.0 | 4.940 | 16 |
| 20.9 | 4.247 | 100 |
| 27.9 | 3.199 | 19 |
| 29.4 | 3.037 | 22 |
| 30.9 | 2.895 | 56 |
| 35.0 | 2.566 | 71 |
| 35.5 | 2.525 | 24 |
| 47.4 | 1.916 | 15 |
| 48.4 | 1.882 | 21 |
| 52.2 | 1.753 | 23 |

Cell and atoms:
Cell: 10.2173 10.2173 10.2173 Å, 34.58 34.58 34.58°
Element x y z (fractional)
Cs 0.0000 0.0000 0.0000
Cu 0.5000 0.5000 0.5000
B 0.2400 0.2400 0.2400
B 0.7600 0.7600 0.7600
Cl 0.0796 0.4949 0.7652
Cl 0.2348 0.9204 0.5051
Cl 0.3052 0.3052 0.3052
Cl 0.4949 0.7652 0.0796
Cl 0.5051 0.2348 0.9204
Cl 0.6948 0.6948 0.6948
Cl 0.7652 0.0796 0.4949
Cl 0.9204 0.5051 0.2348

[5]
Structure and simulated powder diffractogram of Na5B7C3 (a GGA-PBE-relaxed structure; Cu Kα).

Main lines, by angle (2θ from 5° to 70°):
| Position (°2θ) | d_spacing | I (rel.) |
| --- | --- | --- |
| 34.9 | 2.571 | 12 |
| 36.4 | 2.468 | 16 |
| 40.9 | 2.208 | 48 |
| 42.0 | 2.153 | 38 |
| 42.2 | 2.141 | 100 |
| 55.7 | 1.651 | 6 |
| 56.7 | 1.622 | 9 |
| 63.5 | 1.465 | 9 |
| 63.6 | 1.462 | 9 |
| 66.5 | 1.407 | 8 |

Cell and atoms:
Cell: 4.9363 7.6310 9.0998 Å, 107.79 90.84 106.24°
Element x y z (fractional)
Na 0.0000 0.0000 0.0000
Na 0.0957 0.1973 0.4981
Na 0.1959 0.3997 0.0022
Na 0.3004 0.5996 0.4983
Na 0.4043 0.8007 0.0031
Na 0.5000 0.0000 0.5000
Na 0.5957 0.1993 0.9969
Na 0.6996 0.4004 0.5017
Na 0.8041 0.6003 0.9978
Na 0.9043 0.8027 0.5019
B 0.0309 0.7144 0.7514
B 0.0879 0.4864 0.7488
B 0.1811 0.7074 0.2514
B 0.1939 0.0901 0.7505
B 0.3876 0.0984 0.2487
B 0.4521 0.5252 0.7496
B 0.4583 0.2929 0.7487
B 0.5417 0.7071 0.2513
B 0.5479 0.4748 0.2504
B 0.6124 0.9016 0.7513
B 0.8061 0.9099 0.2495
B 0.8189 0.2926 0.7486
B 0.9121 0.5137 0.2512
B 0.9691 0.2856 0.2486
C 0.1375 0.9124 0.2497
C 0.2786 0.8984 0.7523
C 0.3047 0.2939 0.2487
C 0.6953 0.7061 0.7513
C 0.7214 0.1016 0.2477
C 0.8625 0.0876 0.7503

[6]
Structure and simulated powder diffractogram of Pm3Cd2Sn (a GGA-PBE-relaxed structure; Cu Kα).

Main lines, by angle (2θ from 5° to 70°):
| Position (°2θ) | d_spacing | I (rel.) |
| --- | --- | --- |
| 22.6 | 3.932 | 1 |
| 23.5 | 3.788 | 2 |
| 32.8 | 2.728 | 100 |
| 33.5 | 2.679 | 48 |
| 40.8 | 2.214 | 1 |
| 46.2 | 1.966 | 9 |
| 48.0 | 1.894 | 17 |
| 58.2 | 1.585 | 19 |
| 59.4 | 1.556 | 36 |
| 68.8 | 1.364 | 11 |

Cell and atoms:
Cell: 3.7881 3.7881 11.7961 Å, 90.00 90.00 90.00°
Element x y z (fractional)
Pm 0.0000 0.0000 0.0000
Pm 0.0000 0.0000 0.3304
Pm 0.0000 0.0000 0.6696
Cd 0.5000 0.5000 0.1593
Cd 0.5000 0.5000 0.8407
Sn 0.5000 0.5000 0.5000